1.
Computed PXRD pattern of CaH2I2O7 for Cu Kα, 1.54184 Å, from a structure optimized by DFT (PBE).
Neutral-atom scattering factors, no anomalous dispersion.

Cell and atoms:
```
data_CaH2I2O7
_cell_length_a 8.6060
_cell_length_b 10.1626
_cell_length_c 7.6275
_cell_angle_alpha 90.00
_cell_angle_beta 95.07
_cell_angle_gamma 90.00
_symmetry_space_group_name_H-M 'P 1'
_symmetry_Int_Tables_number 1
loop_
_symmetry_equiv_pos_as_xyz
'x,y,z'
loop_
_atom_site_label
_atom_site_type_symbol
_atom_site_fract_x
_atom_site_fract_y
_atom_site_fract_z
_atom_site_occupancy
Ca1 Ca 0.2127 0.0081 0.1636 1
Ca2 Ca 0.2127 0.4919 0.6636 1
Ca3 Ca 0.7873 0.5081 0.3364 1
Ca4 Ca 0.7873 0.9919 0.8364 1
H1 H 0.2213 0.0980 0.7792 1
H2 H 0.2213 0.4020 0.2792 1
H3 H 0.3689 0.0052 0.8187 1
H4 H 0.3689 0.4948 0.3187 1
H5 H 0.6311 0.5052 0.6813 1
H6 H 0.6311 0.9948 0.1813 1
H7 H 0.7787 0.5980 0.7208 1
H8 H 0.7787 0.9020 0.2208 1
I1 I 0.0280 0.6901 0.0433 1
I2 I 0.0280 0.8099 0.5433 1
I3 I 0.4852 0.6865 0.0543 1
I4 I 0.4852 0.8135 0.5543 1
I5 I 0.5148 0.1865 0.4457 1
I6 I 0.5148 0.3135 0.9457 1
I7 I 0.9720 0.1901 0.4567 1
I8 I 0.9720 0.3099 0.9567 1
O1 O 0.0085 0.6023 0.8311 1
O2 O 0.0085 0.8977 0.3311 1
O3 O 0.0219 0.6403 0.4579 1
O4 O 0.0219 0.8597 0.9579 1
O5 O 0.1699 0.1699 0.3960 1
O6 O 0.1699 0.3301 0.8960 1
O7 O 0.3037 0.0719 0.8703 1
O8 O 0.3037 0.4281 0.3703 1
O9 O 0.3385 0.5632 0.9803 1
O10 O 0.3385 0.9368 0.4803 1
O11 O 0.3502 0.6867 0.6148 1
O12 O 0.3502 0.8133 0.1148 1
O13 O 0.4613 0.1222 0.2227 1
O14 O 0.4613 0.3778 0.7227 1
O15 O 0.5387 0.6222 0.2773 1
O16 O 0.5387 0.8778 0.7773 1
O17 O 0.6498 0.1867 0.8852 1
O18 O 0.6498 0.3133 0.3852 1
O19 O 0.6615 0.0632 0.5197 1
O20 O 0.6615 0.4368 0.0197 1
O21 O 0.6963 0.5719 0.6297 1
O22 O 0.6963 0.9281 0.1297 1
O23 O 0.8301 0.6699 0.1040 1
O24 O 0.8301 0.8301 0.6040 1
O25 O 0.9781 0.1403 0.0421 1
O26 O 0.9781 0.3597 0.5421 1
O27 O 0.9915 0.1023 0.6689 1
O28 O 0.9915 0.3977 0.1689 1
```

Most intense lines, 2θ from 10° to 90°, in order of falling intensity:
Position (°2θ), I_rel
28.86, 100
27.22, 95
20.72, 94
25.02, 57
23.42, 57
17.45, 51
29.36, 48
35.16, 44
14.56, 41
26.28, 41

---

2.
Computed PXRD pattern of CaH16I2O8 for Cu Kα, 1.54184 Å, from a structure optimized by DFT (PBE).
Neutral-atom scattering factors, no anomalous dispersion.

Cell and atoms:
```
data_CaH16I2O8
_cell_length_a 7.7088
_cell_length_b 8.7715
_cell_length_c 10.7501
_cell_angle_alpha 87.02
_cell_angle_beta 84.23
_cell_angle_gamma 71.90
_symmetry_space_group_name_H-M 'P 1'
_symmetry_Int_Tables_number 1
loop_
_symmetry_equiv_pos_as_xyz
'x,y,z'
loop_
_atom_site_label
_atom_site_type_symbol
_atom_site_fract_x
_atom_site_fract_y
_atom_site_fract_z
_atom_site_occupancy
Ca1 Ca 0.0628 0.3833 0.3209 1
Ca2 Ca 0.9372 0.6167 0.6791 1
H1 H 0.0103 0.8719 0.8361 1
H2 H 0.0859 0.2160 0.5814 1
H3 H 0.0886 0.2732 0.7915 1
H4 H 0.1084 0.7141 0.2459 1
H5 H 0.1621 0.0346 0.2349 1
H6 H 0.1704 0.5136 0.0621 1
H7 H 0.1836 0.0793 0.4825 1
H8 H 0.1926 0.3340 0.0348 1
H9 H 0.2445 0.0900 0.9292 1
H10 H 0.2477 0.5852 0.4667 1
H11 H 0.2593 0.5976 0.8295 1
H12 H 0.2929 0.4124 0.5245 1
H13 H 0.3540 0.4626 0.7303 1
H14 H 0.3666 0.1890 0.8630 1
H15 H 0.4727 0.2572 0.2180 1
H16 H 0.4766 0.2334 0.3645 1
H17 H 0.5234 0.7666 0.6355 1
H18 H 0.5273 0.7428 0.7820 1
H19 H 0.6334 0.8110 0.1369 1
H20 H 0.6460 0.5374 0.2697 1
H21 H 0.7071 0.5876 0.4755 1
H22 H 0.7407 0.4024 0.1705 1
H23 H 0.7523 0.4148 0.5333 1
H24 H 0.7555 0.9100 0.0708 1
H25 H 0.8074 0.6660 0.9652 1
H26 H 0.8164 0.9207 0.5175 1
H27 H 0.8296 0.4864 0.9379 1
H28 H 0.8379 0.9654 0.7651 1
H29 H 0.8916 0.2859 0.7541 1
H30 H 0.9114 0.7268 0.2085 1
H31 H 0.9141 0.7840 0.4186 1
H32 H 0.9897 0.1281 0.1639 1
I1 I 0.2781 0.7935 0.9864 1
I2 I 0.4143 0.7834 0.3897 1
I3 I 0.5857 0.2166 0.6103 1
I4 I 0.7219 0.2065 0.0136 1
O1 O 0.0032 0.3129 0.7242 1
O2 O 0.0631 0.1360 0.2315 1
O3 O 0.1086 0.1911 0.4911 1
O4 O 0.1568 0.4143 0.1013 1
O5 O 0.1896 0.5018 0.4960 1
O6 O 0.2358 0.5386 0.7607 1
O7 O 0.2425 0.2001 0.9025 1
O8 O 0.3951 0.2691 0.2973 1
O9 O 0.6049 0.7309 0.7027 1
O10 O 0.7575 0.7999 0.0975 1
O11 O 0.7642 0.4614 0.2393 1
O12 O 0.8104 0.4982 0.5040 1
O13 O 0.8432 0.5857 0.8987 1
O14 O 0.8914 0.8089 0.5089 1
O15 O 0.9369 0.8640 0.7685 1
O16 O 0.9968 0.6871 0.2758 1
```

Most intense lines, 2θ from 10° to 90°, in order of falling intensity:
Position (°2θ), I_rel
20.35, 100
16.51, 92
21.32, 79
29.15, 64
18.46, 62
21.05, 62
25.02, 55
36.74, 55
28.36, 55
31.94, 54